Entry 1:
For Ni5Os, a crystal structure in Alexandria, relaxed with GGA-PBE gives the simulated powder X-ray diffraction pattern in this record (Cu Kα).
Intensities are scaled so that the largest is 100.

Cell lengths 6.538, 6.538, 6.538 Å; angles 90.00, 90.00, 90.00 degrees
Space group F-43m (No. 216)
Asymmetric unit:
Ni (0.000, 0.000, 0.000)
Ni (0.125, 0.125, 0.625)
Os (0.250, 0.250, 0.250)

Top 10 peaks for 2θ = 10–90°, most intense first:
2theta	intensity	h k l
46.04	100	3 1 1
38.96	50	2 2 0
75.57	29	5 1 1
48.22	23	2 2 2
83.68	21	4 4 0
23.57	18	1 1 1
70.57	17	4 2 2
27.28	15	2 0 0
63.65	6	4 2 0
61.86	4	3 3 1

Entry 2:
For NiOs7, a crystal structure in Alexandria, relaxed with GGA-PBE gives the simulated powder X-ray diffraction pattern in this record (Cu Kα).
Intensities are scaled so that the largest is 100.

Cell lengths 7.666, 7.666, 7.666 Å; angles 90.00, 90.00, 90.00 degrees
Space group Fm-3m (No. 225)
Asymmetric unit:
Ni (0.000, 0.000, 0.000)
Os (0.000, 0.000, 0.500)
Os (0.000, 0.250, 0.250)

Top 10 peaks for 2θ = 10–90°, most intense first:
2theta	intensity	h k l
40.78	100	2 2 2
47.44	49	4 0 0
83.69	39	6 2 2
69.35	32	4 4 0
88.33	12	4 4 4
20.06	5	1 1 1
38.97	3	3 1 1
23.21	2	2 0 0
33.05	2	2 2 0
52.00	1	3 3 1

Entry 3:
For Ni2POs, a crystal structure in Alexandria, relaxed with GGA-PBE gives the simulated powder X-ray diffraction pattern in this record (Cu Kα).
Intensities are scaled so that the largest is 100.

Cell lengths 2.760, 4.115, 8.318 Å; angles 90.00, 90.00, 90.00 degrees
Space group Immm (No. 71)
Asymmetric unit:
Ni (0.000, 0.000, 0.216)
P (0.000, 0.500, 0.500)
Os (0.000, 0.500, 0.000)

Top 10 peaks for 2θ = 10–90°, most intense first:
2theta	intensity	h k l
45.17	100	1 1 2
39.18	37	0 1 3
24.13	37	0 1 1
34.23	33	1 0 1
44.01	29	0 2 0
43.52	23	0 0 4
81.75	17	1 3 2
56.91	16	1 2 1
21.37	15	0 0 2
63.62	14	0 2 4

Entry 4:
For SrNiP2Os, a crystal structure in Alexandria, relaxed with GGA-PBE gives the simulated powder X-ray diffraction pattern in this record (Cu Kα).
Intensities are scaled so that the largest is 100.

Cell lengths 3.854, 3.854, 12.115 Å; angles 90.00, 90.00, 90.00 degrees
Space group I-4m2 (No. 119)
Asymmetric unit:
Sr (0.000, 0.000, 0.000)
Ni (0.000, 0.500, 0.250)
P (0.000, 0.000, 0.356)
Os (0.000, 0.500, 0.750)

Top 10 peaks for 2θ = 10–90°, most intense first:
2theta	intensity	h k l
36.14	100	1 1 2
14.62	68	0 0 2
32.10	46	1 0 3
24.23	44	1 0 1
56.74	36	1 1 6
47.16	35	2 0 0
29.49	33	0 0 4
44.73	24	1 1 4
56.61	21	2 0 4
80.36	20	3 1 2

Entry 5:
For NiOsPb, a crystal structure in Alexandria, relaxed with GGA-PBE gives the simulated powder X-ray diffraction pattern in this record (Cu Kα).
Intensities are scaled so that the largest is 100.

Cell lengths 3.183, 3.183, 10.135 Å; angles 90.00, 90.00, 90.00 degrees
Space group I4mm (No. 107)
Asymmetric unit:
Ni (0.000, 0.000, 0.000)
Os (0.000, 0.000, 0.391)
Pb (0.000, 0.000, 0.689)

Top 10 peaks for 2θ = 10–90°, most intense first:
2theta	intensity	h k l
38.87	100	1 0 3
40.06	54	1 1 0
29.41	34	1 0 1
71.98	33	2 1 3
54.53	19	1 1 4
57.94	19	2 0 0
35.43	16	0 0 4
71.60	15	1 0 7
69.58	11	1 1 6
69.77	9	2 0 4

Entry 6:
For Pm2NiOs3, a crystal structure in Alexandria, relaxed with GGA-PBE gives the simulated powder X-ray diffraction pattern in this record (Cu Kα).
Intensities are scaled so that the largest is 100.

Cell lengths 9.195, 5.287, 5.443 Å; angles 90.00, 124.24, 90.00 degrees
Space group C2/m (No. 12)
Asymmetric unit:
Pm (0.123, 0.000, 0.369)
Ni (0.000, 0.500, 0.500)
Os (0.000, 0.500, 0.000)
Os (0.250, 0.250, 0.000)

Top 10 peaks for 2θ = 10–90°, most intense first:
2theta	intensity	h k l
39.48	100	3 1 0
39.90	79	2 2 -1
32.95	69	1 1 1
38.70	57	2 0 1
41.61	56	2 2 0
69.10	40	2 2 2
39.78	40	4 0 -1
19.73	39	0 0 1
40.08	29	0 0 2
41.51	28	4 0 -2

Entry 7:
For NiOs2Pt, a crystal structure in Alexandria, relaxed with GGA-PBE gives the simulated powder X-ray diffraction pattern in this record (Cu Kα).
Intensities are scaled so that the largest is 100.

Cell lengths 2.725, 2.725, 7.484 Å; angles 90.00, 90.00, 90.00 degrees
Space group P4mm (No. 99)
Asymmetric unit:
Ni (0.000, 0.000, 0.000)
Os (0.000, 0.000, 0.482)
Os (0.500, 0.500, 0.236)
Pt (0.500, 0.500, 0.752)

Top 10 peaks for 2θ = 10–90°, most intense first:
2theta	intensity	h k l
40.97	100	1 0 2
47.16	34	1 1 0
83.40	26	2 1 2
70.10	20	1 1 4
48.67	15	0 0 4
11.83	13	0 0 1
85.64	11	1 0 6
88.84	11	2 0 4
68.91	11	2 0 0
35.04	8	1 0 1

Entry 8:
For Ni2SbOsPt, a crystal structure in Alexandria, relaxed with GGA-PBE gives the simulated powder X-ray diffraction pattern in this record (Cu Kα).
Intensities are scaled so that the largest is 100.

Cell lengths 4.501, 4.501, 4.971 Å; angles 90.00, 90.00, 90.00 degrees
Space group P4/mmm (No. 123)
Asymmetric unit:
Ni (0.000, 0.500, 0.000)
Sb (0.000, 0.000, 0.500)
Os (0.000, 0.000, 0.000)
Pt (0.500, 0.500, 0.500)

Top 10 peaks for 2θ = 10–90°, most intense first:
2theta	intensity	h k l
40.07	100	2 0 0
26.72	96	1 0 1
28.04	88	1 1 0
55.05	79	2 0 2
36.14	67	0 0 2
33.43	55	1 1 1
46.35	46	1 1 2
48.82	39	2 1 1
70.24	38	2 2 2
57.96	34	2 2 0

Entry 9:
For NiOs2PtW, a crystal structure in Alexandria, relaxed with GGA-PBE gives the simulated powder X-ray diffraction pattern in this record (Cu Kα).
Intensities are scaled so that the largest is 100.

Cell lengths 4.684, 4.684, 4.403 Å; angles 90.00, 90.00, 90.00 degrees
Space group P4/mmm (No. 123)
Asymmetric unit:
Ni (0.000, 0.000, 0.000)
Os (0.000, 0.500, 0.500)
Pt (0.000, 0.000, 0.500)
W (0.500, 0.500, 0.000)

Top 10 peaks for 2θ = 10–90°, most intense first:
2theta	intensity	h k l
38.44	100	2 0 0
33.87	78	1 1 1
27.81	67	1 0 1
57.45	63	2 0 2
41.00	42	0 0 2
20.17	39	0 0 1
55.49	35	2 2 0
71.26	33	2 2 2
48.10	31	2 1 1
66.61	22	3 1 1

Entry 10:
For NiOsRh5, a crystal structure in Alexandria, relaxed with GGA-PBE gives the simulated powder X-ray diffraction pattern in this record (Cu Kα).
Intensities are scaled so that the largest is 100.

Cell lengths 7.759, 7.759, 4.464 Å; angles 90.00, 90.00, 90.00 degrees
Space group I-4m2 (No. 119)
Asymmetric unit:
Ni (0.000, 0.000, 0.000)
Os (0.000, 0.500, 0.750)
Rh (0.000, 0.000, 0.500)
Rh (0.000, 0.283, 0.207)

Top 10 peaks for 2θ = 10–90°, most intense first:
2theta	intensity	h k l
46.86	100	4 0 0
32.69	89	2 1 1
22.93	68	2 0 0
43.79	31	1 1 2
75.63	20	5 1 2
55.67	15	3 1 2
68.40	14	4 4 0
63.50	11	4 0 2
16.15	10	1 1 0
78.08	10	3 2 3

Entry 11:
For NiOsRh, a crystal structure in Alexandria, relaxed with GGA-PBE gives the simulated powder X-ray diffraction pattern in this record (Cu Kα).
Intensities are scaled so that the largest is 100.

Cell lengths 2.6947, 2.6947, 12.8206 Å; angles 90.00, 90.00, 120.00 degrees
Space group P-3m1 (No. 164)
Asymmetric unit:
Ni (0.3333, 0.6667, 0.0747)
Os (0.3333, 0.6667, 0.4147)
Rh (0.0000, 0.0000, 0.2402)

Top 10 peaks for 2θ = 10–90°, most intense first:
2theta	intensity	h k l
44.22	100	1 0 3
41.17	97	0 1 2
48.24	54	1 0 4
42.30	47	0 0 6
39.24	44	0 1 1
85.13	37	1 1 6
69.81	34	1 1 0
78.70	19	1 0 9
71.40	19	0 1 8
53.06	16	1 0 5

Entry 12:
For Ni2OsRh3, a crystal structure in Alexandria, relaxed with GGA-PBE gives the simulated powder X-ray diffraction pattern in this record (Cu Kα).
Intensities are scaled so that the largest is 100.

Cell lengths 5.301, 7.564, 15.831 Å; angles 90.00, 90.00, 90.00 degrees
Space group Fddd (No. 70, origin choice 2)
Asymmetric unit:
Ni (0.125, 0.125, 0.292)
Os (0.125, 0.125, 0.625)
Rh (0.125, 0.125, 0.125)
Rh (0.125, 0.125, 0.456)

Top 10 peaks for 2θ = 10–90°, most intense first:
2theta	intensity	h k l
41.61	100	2 2 0
41.74	99	0 2 6
48.69	63	2 0 6
70.87	40	2 4 6
48.12	33	0 4 0
85.29	24	2 6 0
86.02	24	4 2 6
86.29	24	2 2 12
21.22	19	1 1 1
26.11	11	0 2 2

Entry 13:
For Ni3OsRh8, a crystal structure in Alexandria, relaxed with GGA-PBE gives the simulated powder X-ray diffraction pattern in this record (Cu Kα).
Intensities are scaled so that the largest is 100.

Cell lengths 5.733, 5.733, 11.362 Å; angles 90.00, 90.00, 90.00 degrees
Space group I4/mmm (No. 139)
Asymmetric unit:
Ni (0.000, 0.000, 0.000)
Ni (0.000, 0.500, 0.250)
Os (0.000, 0.000, 0.500)
Rh (0.246, 0.246, 0.127)

Top 10 peaks for 2θ = 10–90°, most intense first:
2theta	intensity	h k l
44.92	100	2 0 4
44.71	51	2 2 0
27.02	39	1 1 2
82.56	32	4 2 4
31.20	20	2 0 0
65.08	16	4 0 0
83.02	16	2 2 8
53.02	12	3 1 2
31.49	10	0 0 4
17.32	8	1 0 1

Entry 14:
For Sc6NiOs, a crystal structure in Alexandria, relaxed with GGA-PBE gives the simulated powder X-ray diffraction pattern in this record (Cu Kα).
Intensities are scaled so that the largest is 100.

Cell lengths 4.543, 4.543, 16.223 Å; angles 90.00, 90.00, 90.00 degrees
Space group I4/mmm (No. 139)
Asymmetric unit:
Sc (0.000, 0.000, 0.246)
Sc (0.000, 0.500, 0.096)
Ni (0.000, 0.000, 0.500)
Os (0.000, 0.000, 0.000)

Top 10 peaks for 2θ = 10–90°, most intense first:
2theta	intensity	h k l
35.66	100	1 1 4
10.91	91	0 0 2
39.68	44	2 0 0
43.77	29	1 1 6
20.30	27	1 0 1
69.41	26	3 1 4
21.91	16	0 0 4
41.28	15	2 0 2
57.37	14	2 2 0
53.43	14	1 1 8

Entry 15:
For Sc12Ni6Os, a crystal structure in Alexandria, relaxed with GGA-PBE gives the simulated powder X-ray diffraction pattern in this record (Cu Kα).
Intensities are scaled so that the largest is 100.

Cell lengths 8.910, 8.910, 8.910 Å; angles 90.00, 90.00, 90.00 degrees
Space group Im-3 (No. 204)
Asymmetric unit:
Sc (0.000, 0.181, 0.290)
Ni (0.000, 0.366, 0.500)
Os (0.000, 0.000, 0.000)

Top 10 peaks for 2θ = 10–90°, most intense first:
2theta	intensity	h k l
37.78	100	3 2 1
19.93	36	2 0 0
52.36	29	4 1 3
43.07	21	4 1 1
34.88	21	2 2 2
64.47	19	5 3 2
40.50	16	4 0 0
24.47	16	2 1 1
75.44	14	5 4 3
68.21	11	5 4 1